For Cs2Ni4As, DFT lattice parameters and positions (GGA-PBE) gives the theoretical XRD peak list in this record (Cu Kα (weighted mean of Kα1 and Kα2)).
Peak positions follow from Bragg's law for the DFT cell and can differ from measured ones.

Most intense lines, 2θ = 5–70°, sorted by position:
2θ 9.5, 9.345 Å, intensity 43
2θ 24.4, 3.653 Å, intensity 100
2θ 28.0, 3.188 Å, intensity 60
2θ 28.7, 3.115 Å, intensity 44
2θ 34.0, 2.634 Å, intensity 77
2θ 40.0, 2.254 Å, intensity 72
2θ 47.4, 1.918 Å, intensity 33
2θ 48.2, 1.886 Å, intensity 45
2θ 49.9, 1.826 Å, intensity 37
2θ 64.4, 1.447 Å, intensity 37

Structure:
```
data_Cs2Ni4As
_chemical_formula_sum 'Cs2 Ni4 As1'
_space_group_name_H-M_alt 'P 1'
_space_group_IT_number 1
_cell_length_a 9.8743
_cell_length_b 9.8743
_cell_length_c 9.8743
_cell_angle_alpha 153.61
_cell_angle_beta 153.61
_cell_angle_gamma 37.67
loop_
_space_group_symop_operation_xyz
'x,y,z'
loop_
_atom_site_label
_atom_site_fract_x
_atom_site_fract_y
_atom_site_fract_z
_atom_site_occupancy
Cs1 0.1595 0.1595 0.0000 1
Cs2 0.8405 0.8405 0.0000 1
Ni1 0.0000 0.5000 0.5000 1
Ni2 0.3832 0.3832 0.0000 1
Ni3 0.5000 0.0000 0.5000 1
Ni4 0.6168 0.6168 0.0000 1
As1 0.5000 0.5000 0.0000 1
```